(1)
The following is a simulated XRD peak list of MgMnGaSiS. It was derived from a cell relaxed with PBE, using Cu Kα (weighted mean of Kα1 and Kα2).

Structural model:
```
MgMnGaSiS
1.0
8.0547 0.0000 0.0000
0.0000 3.4716 0.0000
-1.6848 0.0000 6.4069
Mg Mn Ga Si S
2 2 2 2 2
Direct
0.0000 0.0000 0.0000
0.5000 0.5000 0.0000
0.0012 0.5000 0.3821
0.5012 0.0000 0.3821
0.2675 0.5000 0.2363
0.7675 0.0000 0.2363
0.2049 0.0000 0.4810
0.7049 0.5000 0.4810
0.4512 0.0000 0.7145
0.9512 0.5000 0.7145
```

Top 6 peaks for 15° ≤ 2θ ≤ 90°, sorted by position:
index, two_theta, Rel. int.
1 1 1, 32.78, 100
1 1 2, 42.12, 46
2 0 -3, 42.80, 38
3 1 -1, 42.91, 44
3 1 0, 43.52, 29
3 1 -2, 47.00, 46

***

(2)
The following is a simulated XRD peak list of Mg6GaMo. It was derived from a cell relaxed with PBE, using Cu Kα (weighted mean of Kα1 and Kα2).

Structural model:
```
Mg6GaMo
1.0
4.8607 0.0000 0.0000
0.0000 6.1049 0.0000
0.0000 0.0000 10.6058
Mg Ga Mo
12 2 2
Direct
0.0000 0.0000 0.0000
0.0000 0.2381 0.7464
0.0000 0.2619 0.2464
0.0000 0.5000 0.5000
0.0000 0.7381 0.2464
0.0000 0.7619 0.7464
0.5000 0.0000 0.1647
0.5000 0.2470 0.4132
0.5000 0.2530 0.9132
0.5000 0.5000 0.6647
0.5000 0.7470 0.9132
0.5000 0.7530 0.4132
0.0000 0.0000 0.5206
0.0000 0.5000 0.0206
0.5000 0.0000 0.6575
0.5000 0.5000 0.1575
```

Top 6 peaks for 15° ≤ 2θ ≤ 90°, sorted by position:
index, two_theta, Rel. int.
0 1 1, 16.75, 61
1 0 2, 24.86, 16
0 2 2, 33.87, 26
2 0 0, 36.99, 26
1 0 4, 38.73, 100
3 0 4, 67.81, 18

***

(3)
The following is a simulated XRD peak list of MgGa3N4. It was derived from a cell relaxed with PBE, using Cu Kα (weighted mean of Kα1 and Kα2).

Structural model:
```
MgGa3N4
1.0
6.4834 0.0000 0.0000
0.0000 5.6596 0.0000
0.0000 0.0000 5.2902
Mg Ga N
2 6 8
Direct
0.0000 0.1642 0.0000
0.5000 0.8358 0.5000
0.0000 0.8295 0.4950
0.2496 0.3355 0.4968
0.2504 0.6645 0.9968
0.5000 0.1705 0.9950
0.7504 0.3355 0.4968
0.7496 0.6645 0.9968
0.0000 0.1611 0.6017
0.0000 0.8151 0.1256
0.2382 0.6583 0.6270
0.2618 0.3417 0.1270
0.5000 0.1849 0.6256
0.5000 0.8389 0.1017
0.7382 0.3417 0.1270
0.7618 0.6583 0.6270
```

Top 6 peaks for 15° ≤ 2θ ≤ 90°, sorted by position:
index, two_theta, Rel. int.
2 1 0, 31.81, 49
0 0 2, 33.89, 57
0 2 1, 35.99, 51
2 1 1, 36.17, 100
2 3 0, 56.43, 33
2 1 3, 62.13, 33

***

Q: What is the formula in the second record?
A: Mg6GaMo